1.
Computed powder diffractogram of PaPdPtRh for Cu Kα, from a structure optimized by DFT (GGA-PBE).
Lines closer than 0.1° are merged.

Structural model:
Cell lengths 4.033, 4.058, 4.272 Å; angles 90.00, 90.00, 90.00 degrees
Fractional coordinates of all 4 atoms:
Pa 0.000 0.000 0.000
Pd 0.000 0.500 0.500
Pt 0.500 0.000 0.500
Rh 0.500 0.500 0.000

Most intense lines, 2θ from 10° to 90°, by intensity:
d 2.377, intensity 100.0, (1 1 1)
d 2.136, intensity 18.3, (0 0 2)
d 2.029, intensity 15.7, (0 2 0)
d 2.017, intensity 15.4, (2 0 0)
d 1.275, intensity 14.0, (1 1 3)
d 1.228, intensity 12.5, (1 3 1)
d 1.223, intensity 12.3, (3 1 1)
d 1.188, intensity 11.3, (2 2 2)
d 1.471, intensity 11.3, (0 2 2)
d 1.466, intensity 11.1, (2 0 2)

***

2.
Computed powder diffractogram of Co3Cu for Cu Kα, from a structure optimized by DFT (GGA-PBE).
Lines closer than 0.1° are merged.

Structural model:
Cell lengths 2.504, 2.504, 8.221 Å; angles 90.00, 90.00, 120.00 degrees
Fractional coordinates of all 4 atoms:
Co 0.000 0.000 0.000
Co 0.333 0.667 0.241
Co 0.333 0.667 0.759
Cu 0.000 0.000 0.500

Most intense lines, 2θ from 10° to 90°, by intensity:
d 1.918, intensity 100.0, (1 0 2)
d 2.055, intensity 27.4, (0 0 4)
d 2.168, intensity 25.0, (1 0 0)
d 1.158, intensity 16.0, (1 0 6)
d 1.252, intensity 14.6, (1 1 0)
d 1.492, intensity 13.6, (1 0 4)
d 2.740, intensity 0.8, (0 0 3)
d 1.310, intensity 0.8, (1 0 5)